No. 1
The following is a theoretical powder diffractogram of Na4B5C3. It was derived from the PBE geometry in Alexandria, using a wavelength of 1.5418 Å.
Peak positions follow from Bragg's law for the DFT cell and can differ from measured ones.

a b c (Å): 5.689 10.009 8.981
angles (deg): 90.00 108.40 90.00
Space group C2/c (No. 15)
Asymmetric unit:
Na1 0.125 0.125 0.000 x8
Na2 0.126 0.375 0.503 x8
B1 0.000 0.044 0.250 x4
B2 0.000 0.214 0.250 x4
B3 0.000 0.291 0.750 x4
B4 0.241 0.453 0.250 x8
C1 0.000 0.457 0.750 x4
C2 0.249 0.292 0.249 x8

Largest 10 diffraction maxima, sorted by position, 10 to 80 degrees two-theta:
| 2theta | I (rel.) | h k l |
| --- | --- | --- |
| 35.9 | 10 | 0 4 0 |
| 36.3 | 17 | 2 2 -1 |
| 41.9 | 50 | 0 4 2 |
| 42.3 | 100 | 2 2 1 |
| 42.4 | 38 | 0 0 4 |
| 57.1 | 10 | 2 2 3 |
| 64.8 | 17 | 2 6 -1 |
| 65.6 | 8 | 4 0 -2 |
| 77.2 | 8 | 0 4 6 |
| 77.5 | 6 | 2 2 5 |

---

No. 2
The following is a theoretical powder diffractogram of Dy3Sc2Zn3. It was derived from the PBE geometry in Alexandria, using a wavelength of 1.5418 Å.
Peak positions follow from Bragg's law for the DFT cell and can differ from measured ones.

a b c (Å): 3.516 5.059 20.829
angles (deg): 90.00 90.00 90.00
Space group Immm (No. 71)
Asymmetric unit:
Dy1 0.000 0.000 0.000 x2
Dy2 0.000 0.500 0.122 x4
Sc1 0.000 0.000 0.232 x4
Zn1 0.000 0.000 0.500 x2
Zn2 0.000 0.500 0.377 x4

Largest 10 diffraction maxima, sorted by position, 10 to 80 degrees two-theta:
| 2theta | I (rel.) | h k l |
| --- | --- | --- |
| 21.7 | 7 | 0 1 3 |
| 25.7 | 9 | 1 0 1 |
| 27.7 | 9 | 0 1 5 |
| 34.4 | 20 | 0 0 8 |
| 35.5 | 100 | 0 2 0 |
| 50.3 | 14 | 0 2 8 |
| 62.4 | 13 | 1 1 12 |
| 63.8 | 14 | 1 3 4 |
| 64.6 | 7 | 2 2 0 |
| 75.3 | 8 | 2 2 8 |

---

No. 3
The following is a theoretical powder diffractogram of BeAl2Hg. It was derived from the PBE geometry in Alexandria, using a wavelength of 1.5418 Å.
Peak positions follow from Bragg's law for the DFT cell and can differ from measured ones.

a b c (Å): 2.761 3.828 6.404
angles (deg): 90.00 90.00 90.00
Space group Pmm2 (No. 25)
Asymmetric unit:
Be1 0.000 0.000 0.000 x1
Al1 0.000 0.000 0.593 x1
Al2 0.500 0.500 0.844 x1
Hg1 0.500 0.500 0.291 x1

Largest 10 diffraction maxima, sorted by position, 10 to 80 degrees two-theta:
| 2theta | I (rel.) | h k l |
| --- | --- | --- |
| 13.8 | 100 | 0 0 1 |
| 23.2 | 45 | 0 1 0 |
| 27.1 | 59 | 0 1 1 |
| 27.9 | 30 | 0 0 2 |
| 35.4 | 30 | 1 0 1 |
| 36.6 | 49 | 0 1 2 |
| 40.3 | 41 | 1 1 0 |
| 42.8 | 28 | 1 1 1 |
| 43.3 | 31 | 1 0 2 |
| 49.7 | 34 | 1 1 2 |

---

No. 4
The following is a theoretical powder diffractogram of AcTb3Nd3. It was derived from the PBE geometry in Alexandria, using a wavelength of 1.5418 Å.
Peak positions follow from Bragg's law for the DFT cell and can differ from measured ones.

a b c (Å): 9.8399 9.8399 5.9109
angles (deg): 90.00 90.00 120.00
Space group P6_3/m (No. 176)
Asymmetric unit:
Ac1 0.3333 0.6667 0.2500 x2
Tb1 0.0429 0.8132 0.2500 x6
Nd1 0.0940 0.6241 0.7500 x6

Largest 10 diffraction maxima, sorted by position, 10 to 80 degrees two-theta:
| 2theta | I (rel.) | h k l |
| --- | --- | --- |
| 27.7 | 24 | 1 2 0 |
| 30.2 | 25 | 0 0 2 |
| 31.6 | 100 | 1 2 1 |
| 41.5 | 16 | 1 2 2 |
| 49.0 | 20 | 4 1 0 |
| 54.6 | 22 | 1 2 3 |
| 58.7 | 23 | 4 1 2 |
| 59.5 | 16 | 2 4 1 |
| 66.1 | 4 | 2 4 2 |
| 76.4 | 8 | 2 4 3 |

---

No. 5
The following is a theoretical powder diffractogram of Sm10Sn3Pb3. It was derived from the PBE geometry in Alexandria, using a wavelength of 1.5418 Å.
Peak positions follow from Bragg's law for the DFT cell and can differ from measured ones.

a b c (Å): 9.2250 9.2250 6.7699
angles (deg): 90.00 90.00 120.00
Space group P-62m (No. 189)
Asymmetric unit:
Sm1 0.0000 0.2388 0.0000 x3
Sm2 0.0000 0.7612 0.5000 x3
Sm3 0.3333 0.6667 0.2532 x4
Sn1 0.0000 0.3942 0.5000 x3
Pb1 0.0000 0.6048 0.0000 x3

Largest 10 diffraction maxima, sorted by position, 10 to 80 degrees two-theta:
| 2theta | I (rel.) | h k l |
| --- | --- | --- |
| 26.3 | 21 | 0 0 2 |
| 28.6 | 13 | 1 0 2 |
| 29.6 | 28 | 2 1 0 |
| 32.5 | 100 | 2 1 1 |
| 32.8 | 75 | 1 1 2 |
| 33.7 | 38 | 3 0 0 |
| 42.9 | 14 | 3 1 1 |
| 47.7 | 17 | 2 2 2 |
| 50.5 | 29 | 2 1 3 |
| 64.5 | 20 | 5 0 2 |

---

No. 6
The following is a theoretical powder diffractogram of PmPr2Au5. It was derived from the PBE geometry in Alexandria, using a wavelength of 1.5418 Å.
Peak positions follow from Bragg's law for the DFT cell and can differ from measured ones.

a b c (Å): 5.190 5.190 14.392
angles (deg): 90.00 90.00 90.00
Space group I4/mmm (No. 139)
Asymmetric unit:
Pm1 0.000 0.000 0.000 x2
Pr1 0.000 0.000 0.274 x4
Au1 0.000 0.000 0.500 x2
Au2 0.000 0.500 0.119 x8

Largest 10 diffraction maxima, sorted by position, 10 to 80 degrees two-theta:
| 2theta | I (rel.) | h k l |
| --- | --- | --- |
| 34.6 | 56 | 2 0 0 |
| 34.9 | 100 | 1 1 4 |
| 35.7 | 3 | 1 0 5 |
| 45.2 | 3 | 1 1 6 |
| 49.7 | 20 | 2 2 0 |
| 50.7 | 7 | 0 0 8 |
| 62.2 | 38 | 3 1 4 |
| 62.9 | 14 | 2 0 8 |
| 72.9 | 7 | 4 0 0 |
| 73.8 | 9 | 2 2 8 |

---

No. 7
The following is a theoretical powder diffractogram of La2PtRh2. It was derived from the PBE geometry in Alexandria, using a wavelength of 1.5418 Å.
Peak positions follow from Bragg's law for the DFT cell and can differ from measured ones.

a b c (Å): 7.402 7.402 3.994
angles (deg): 90.00 90.00 90.00
Space group P4/mbm (No. 127)
Asymmetric unit:
La1 0.181 0.319 0.000 x4
Pt1 0.000 0.000 0.500 x2
Rh1 0.133 0.633 0.500 x4

Largest 10 diffraction maxima, sorted by position, 10 to 80 degrees two-theta:
| 2theta | I (rel.) | h k l |
| --- | --- | --- |
| 28.1 | 15 | 1 1 1 |
| 33.0 | 60 | 2 0 1 |
| 34.3 | 21 | 2 2 0 |
| 35.2 | 100 | 2 1 1 |
| 38.5 | 57 | 3 1 0 |
| 44.9 | 16 | 3 1 1 |
| 45.4 | 23 | 0 0 2 |
| 56.2 | 16 | 4 1 1 |
| 61.0 | 30 | 3 1 2 |
| 68.8 | 15 | 5 1 1 |

---

No. 8
The following is a theoretical powder diffractogram of Tm4HgSe3. It was derived from the PBE geometry in Alexandria, using a wavelength of 1.5418 Å.
Peak positions follow from Bragg's law for the DFT cell and can differ from measured ones.

a b c (Å): 8.439 11.620 3.955
angles (deg): 90.00 90.00 90.00
Space group Cmmm (No. 65)
Asymmetric unit:
Tm1 0.000 0.249 0.000 x4
Tm2 0.249 0.500 0.500 x4
Hg1 0.000 0.000 0.000 x2
Se1 0.000 0.500 0.000 x2
Se2 0.250 0.250 0.500 x4

Largest 10 diffraction maxima, sorted by position, 10 to 80 degrees two-theta:
| 2theta | I (rel.) | h k l |
| --- | --- | --- |
| 30.8 | 51 | 0 4 0 |
| 31.0 | 100 | 2 0 1 |
| 42.9 | 21 | 4 0 0 |
| 44.2 | 76 | 2 4 1 |
| 45.9 | 17 | 0 0 2 |
| 53.7 | 21 | 4 4 0 |
| 56.3 | 19 | 0 4 2 |
| 72.9 | 17 | 2 8 1 |
| 73.3 | 18 | 4 4 2 |
| 79.5 | 14 | 6 4 1 |